La2Nd9Dy: computed powder X-ray diffraction pattern (Cu Kα X-rays), based on DFT lattice parameters and positions (PBE).
Neutral-atom scattering factors, no anomalous dispersion.

Main lines, by angle (2θ from 15° to 90°):
| (hkl) | 2θ (°) | I (rel.) |
| --- | --- | --- |
| 1 1 3 | 29.73 | 100 |
| 2 0 0 | 34.46 | 51 |
| 2 2 0 | 49.53 | 36 |
| 3 1 3 | 58.84 | 43 |
| 3 3 3 | 80.42 | 18 |
| 4 2 0 | 82.96 | 16 |

Structure:
Unit cell a=5.205 b=5.205 c=15.619 alpha=90.00 beta=90.00 gamma=90.00
Space group P4/mmm (No. 123)
Asymmetric unit:
La1 0.000 0.000 0.168 [2 per cell]
Nd1 0.000 0.500 0.000 [2 per cell]
Nd2 0.000 0.500 0.336 [4 per cell]
Nd3 0.500 0.500 0.169 [2 per cell]
Nd4 0.500 0.500 0.500 [1 per cell]
Dy1 0.000 0.000 0.500 [1 per cell]

=====

La3NdDy7: computed powder X-ray diffraction pattern (Cu Kα X-rays), based on DFT lattice parameters and positions (PBE).
Neutral-atom scattering factors, no anomalous dispersion.

Main lines, by angle (2θ from 15° to 90°):
| (hkl) | 2θ (°) | I (rel.) |
| --- | --- | --- |
| 2 0 0 | 30.27 | 40 |
| 0 4 0 | 31.62 | 32 |
| 1 2 3 | 32.29 | 100 |
| 2 4 0 | 44.34 | 26 |
| 3 2 3 | 55.07 | 22 |
| 1 7 2 | 61.69 | 19 |

Structure:
Unit cell a=5.905 b=11.313 c=11.326 alpha=90.00 beta=90.00 gamma=90.00
Space group Immm (No. 71)
Asymmetric unit:
La1 0.000 0.000 0.000 [2 per cell]
La2 0.000 0.500 0.286 [4 per cell]
Nd1 0.000 0.000 0.500 [2 per cell]
Dy1 0.000 0.208 0.196 [8 per cell]
Dy2 0.000 0.294 0.500 [4 per cell]
Dy3 0.000 0.500 0.000 [2 per cell]